# 1
The following is a theoretical X-ray diffraction stick pattern of TaCl3O. It was derived from a GGA-PBE-relaxed structure, using Cu Ka.
Intensities are scaled so that the largest is 100.

Cell and atoms:
Cell lengths 11.262, 11.262, 3.854 Å; angles 90.00, 90.00, 90.00 degrees
Space group P4_2/mnm (No. 136)
Unique sites:
Ta (0.126, 0.126, 0.000) (multiplicity 4)
Cl (0.102, 0.898, 0.000) (multiplicity 4)
Cl (0.105, 0.327, 0.000) (multiplicity 8)
O (0.116, 0.116, 0.500) (multiplicity 4)

The 10 most intense peaks (2θ = 5–70°), by angle:
| 2theta | d_spacing | I_rel | h k l |
| --- | --- | --- | --- |
| 11.11 | 7.963 | 73.1 | 1 1 0 |
| 17.61 | 5.036 | 100.0 | 2 1 0 |
| 24.41 | 3.647 | 65.3 | 1 0 1 |
| 25.68 | 3.469 | 29.0 | 1 1 1 |
| 31.78 | 2.815 | 51.3 | 4 0 0 |
| 33.32 | 2.689 | 14.8 | 3 0 1 |
| 34.28 | 2.616 | 16.8 | 3 1 1 |
| 40.48 | 2.229 | 25.7 | 4 1 1 |
| 46.71 | 1.945 | 29.7 | 5 0 1 |
| 57.97 | 1.591 | 22.5 | 4 0 2 |

---

# 2
The following is a theoretical X-ray diffraction stick pattern of NdTa3O9. It was derived from a GGA-PBE-relaxed structure, using Cu Ka.
Intensities are scaled so that the largest is 100.

Cell and atoms:
Cell lengths 16.732, 5.587, 9.716 Å; angles 90.00, 125.01, 90.00 degrees
Space group C2/m (No. 12)
Unique sites:
Nd (0.168, 0.000, 0.000) (multiplicity 4)
Ta (0.077, 0.500, 0.742) (multiplicity 4)
Ta (0.084, 0.000, 0.252) (multiplicity 4)
Ta (0.250, 0.000, 0.739) (multiplicity 4)
O (0.000, 0.000, 0.000) (multiplicity 2)
O (0.000, 0.500, 0.500) (multiplicity 2)
O (0.011, 0.239, 0.769) (multiplicity 8)
O (0.165, 0.239, 0.231) (multiplicity 8)
O (0.166, 0.000, 0.498) (multiplicity 4)
O (0.174, 0.500, 0.000) (multiplicity 4)
O (0.176, 0.250, 0.778) (multiplicity 8)

The 10 most intense peaks (2θ = 5–70°), by angle:
| 2theta | d_spacing | I_rel | h k l |
| --- | --- | --- | --- |
| 11.13 | 7.946 | 23.4 | 0 0 1 |
| 22.35 | 3.978 | 42.7 | 0 0 2 |
| 22.53 | 3.947 | 81.7 | 3 1 -1 |
| 31.93 | 2.803 | 67.5 | 3 1 1 |
| 31.97 | 2.799 | 100.0 | 0 2 0 |
| 32.10 | 2.789 | 34.4 | 6 0 -2 |
| 45.99 | 1.974 | 41.6 | 6 2 -2 |
| 51.72 | 1.768 | 25.2 | 3 3 -1 |
| 56.83 | 1.620 | 27.6 | 0 2 4 |
| 57.09 | 1.613 | 40.7 | 3 3 -3 |